1.
For Cs2Li2ZnF6, a structure optimized by DFT (GGA-PBE) gives the calculated powder X-ray diffraction pattern in this record (Cu Kα (weighted mean of Kα1 and Kα2)).
Kinematic intensities with the Lorentz-polarization factor, no thermal factor.

a = 6.0781 Å, b = 6.0781 Å, c = 6.7275 Å
α = 115.01°, β = 115.01°, γ = 59.80°
Fractional positions:
Cs  0.2194  0.2194  0.1649
Cs  0.7806  0.7806  0.8351
Li  0.4074  0.4074  0.7130
Li  0.5926  0.5926  0.2870
Zn  0.0000  0.0000  0.5000
F  0.2289  0.2289  0.6908
F  0.2383  0.7544  0.7188
F  0.2456  0.7617  0.2812
F  0.7544  0.2383  0.7188
F  0.7617  0.2456  0.2812
F  0.7711  0.7711  0.3092

Peak list (12 most intense, 2θ from 5° to 70°, by intensity)
two_theta, d (Å), I (rel.)
29.43, 3.035, 100
30.83, 2.900, 59
26.15, 3.408, 49
40.33, 2.236, 47
17.53, 5.060, 39
35.48, 2.530, 35
19.85, 4.473, 32
29.95, 2.984, 28
26.90, 3.315, 23
39.17, 2.300, 22
35.99, 2.495, 18
61.01, 1.519, 17

=====

2.
For CsLu3F10, a structure optimized by DFT (GGA-PBE) gives the calculated powder X-ray diffraction pattern in this record (Cu Kα (weighted mean of Kα1 and Kα2)).
Kinematic intensities with the Lorentz-polarization factor, no thermal factor.

a = 7.9913 Å, b = 7.9913 Å, c = 16.2038 Å
α = 90.00°, β = 90.00°, γ = 115.28°
Fractional positions:
Cs  0.0000  0.0000  0.0000
Cs  0.0000  0.0000  0.5000
Cs  0.5000  0.5000  0.0000
Cs  0.5000  0.5000  0.5000
Lu  0.0159  0.4835  0.1141
Lu  0.0165  0.4841  0.3859
Lu  0.2459  0.2541  0.2500
Lu  0.2541  0.2459  0.7500
Lu  0.4841  0.0165  0.6141
Lu  0.4835  0.0159  0.8859
Lu  0.5165  0.9841  0.1141
Lu  0.5159  0.9835  0.3859
Lu  0.7459  0.7541  0.2500
Lu  0.7541  0.7459  0.7500
Lu  0.9835  0.5159  0.6141
Lu  0.9841  0.5165  0.8859
F  0.0107  0.9893  0.7544
F  0.0590  0.4410  0.2500
F  0.0880  0.4116  0.5101
F  0.0884  0.4120  0.9899
F  0.1194  0.3646  0.6694
F  0.1354  0.3806  0.8306
F  0.1730  0.3174  0.3698
F  0.1826  0.3270  0.1302
F  0.2256  0.7744  0.8893
F  0.2324  0.7676  0.6122
F  0.2676  0.7324  0.1122
F  0.2744  0.7256  0.3893
F  0.3174  0.1730  0.6302
F  0.3270  0.1826  0.8698
F  0.3646  0.1194  0.3306
F  0.3806  0.1354  0.1694
F  0.4120  0.0884  0.0101
F  0.4116  0.0880  0.4899
F  0.4410  0.0590  0.7500
F  0.4893  0.5107  0.2544
F  0.5107  0.4893  0.7456
F  0.5590  0.9410  0.2500
F  0.5884  0.9120  0.5101
F  0.5880  0.9116  0.9899
F  0.6194  0.8646  0.8306
F  0.6354  0.8806  0.6694
F  0.6730  0.8174  0.1302
F  0.6826  0.8270  0.3698
F  0.7256  0.2744  0.6107
F  0.7324  0.2676  0.8878
F  0.7676  0.2324  0.3878
F  0.7744  0.2256  0.1107
F  0.8174  0.6730  0.8698
F  0.8270  0.6826  0.6302
F  0.8646  0.6194  0.1694
F  0.8806  0.6354  0.3306
F  0.9116  0.5880  0.0101
F  0.9120  0.5884  0.4899
F  0.9410  0.5590  0.7500
F  0.9893  0.0107  0.2456

Peak list (12 most intense, 2θ from 5° to 70°, by intensity)
two_theta, d (Å), I (rel.)
25.65, 3.473, 100
27.02, 3.300, 49
20.77, 4.277, 47
26.41, 3.375, 43
50.09, 1.821, 33
46.15, 1.967, 25
42.26, 2.139, 24
24.64, 3.613, 23
48.11, 1.891, 19
23.52, 3.783, 19
33.22, 2.697, 19
64.35, 1.448, 18

=====

3.
For Cs4Mg3F10, a structure optimized by DFT (GGA-PBE) gives the calculated powder X-ray diffraction pattern in this record (Cu Kα (weighted mean of Kα1 and Kα2)).
Kinematic intensities with the Lorentz-polarization factor, no thermal factor.

a = 8.0001 Å, b = 8.0001 Å, c = 13.8937 Å
α = 90.00°, β = 90.00°, γ = 134.23°
Fractional positions:
Cs  0.0503  0.9497  0.8616
Cs  0.2469  0.7531  0.6075
Cs  0.2531  0.7469  0.1075
Cs  0.4497  0.5503  0.3616
Cs  0.5503  0.4497  0.6384
Cs  0.7469  0.2531  0.8925
Cs  0.7531  0.2469  0.3925
Cs  0.9497  0.0503  0.1384
Mg  0.0000  0.0000  0.5000
Mg  0.1160  0.8840  0.3428
Mg  0.3840  0.6160  0.8428
Mg  0.5000  0.5000  0.0000
Mg  0.6160  0.3840  0.1572
Mg  0.8840  0.1160  0.6572
F  0.0262  0.9738  0.6429
F  0.1134  0.3064  0.5403
F  0.1398  0.3602  0.7500
F  0.1936  0.3866  0.9597
F  0.2481  0.7519  0.3501
F  0.2519  0.7481  0.8501
F  0.3064  0.1134  0.4597
F  0.3602  0.1398  0.2500
F  0.3866  0.1936  0.0403
F  0.4738  0.5262  0.1429
F  0.5262  0.4738  0.8571
F  0.6134  0.8064  0.9597
F  0.6398  0.8602  0.7500
F  0.6936  0.8866  0.5403
F  0.7481  0.2519  0.1499
F  0.7519  0.2481  0.6499
F  0.8064  0.6134  0.0403
F  0.8602  0.6398  0.2500
F  0.8866  0.6936  0.4597
F  0.9738  0.0262  0.3571

Peak list (12 most intense, 2θ from 5° to 70°, by intensity)
two_theta, d (Å), I (rel.)
26.44, 3.372, 100
38.86, 2.317, 35
28.70, 3.111, 32
25.65, 3.473, 30
37.85, 2.377, 21
30.12, 2.967, 19
49.48, 1.842, 19
24.71, 3.602, 17
35.52, 2.528, 16
45.70, 1.985, 13
24.15, 3.685, 13
54.43, 1.686, 12

=====

4.
For Cs4MgF5, a structure optimized by DFT (GGA-PBE) gives the calculated powder X-ray diffraction pattern in this record (Cu Kα (weighted mean of Kα1 and Kα2)).
Kinematic intensities with the Lorentz-polarization factor, no thermal factor.

a = 7.9454 Å, b = 7.9454 Å, c = 7.9454 Å
α = 94.49°, β = 94.49°, γ = 147.52°
Fractional positions:
Cs  0.0875  0.2617  0.3492
Cs  0.2617  0.9125  0.1743
Cs  0.7383  0.0875  0.8257
Cs  0.9125  0.7383  0.6508
Mg  0.5006  0.5006  0.0000
F  0.3340  0.4129  0.7476
F  0.4129  0.6653  0.0788
F  0.5864  0.3340  0.9212
F  0.6653  0.5864  0.2524
F  0.9990  0.9990  0.0000

Peak list (12 most intense, 2θ from 5° to 70°, by intensity)
two_theta, d (Å), I (rel.)
27.28, 3.269, 100
26.12, 3.412, 60
39.99, 2.255, 31
46.80, 1.941, 22
48.92, 1.862, 22
37.27, 2.412, 22
36.19, 2.482, 20
40.60, 2.222, 14
21.63, 4.109, 14
65.96, 1.416, 14
23.32, 3.814, 13
56.29, 1.634, 12